This entry pairs a crystal structure of Pr4Mg7Ge6 with its calculated XRD peak list. Radiation: Cu Kα X-rays. Structure: a DFT-relaxed cell (GGA-PBE, OQMD).
Lines closer than 0.1° are merged.

Cell and atoms:
Cell: 8.6730 8.6730 12.6119 Å, 121.21 121.21 29.73°
Fractional coordinates of all 17 atoms:
1 Pr 0.1294 0.1294 0.3392
2 Pr 0.2333 0.2333 0.1131
3 Pr 0.7667 0.7667 0.8869
4 Pr 0.8706 0.8706 0.6608
5 Mg 0.0000 0.0000 0.0000
6 Mg 0.1894 0.1894 0.6538
7 Mg 0.4381 0.4381 0.1040
8 Mg 0.4604 0.4604 0.3615
9 Mg 0.5396 0.5396 0.6385
10 Mg 0.5619 0.5619 0.8960
11 Mg 0.8106 0.8106 0.3462
12 Ge 0.1082 0.1082 0.8109
13 Ge 0.3507 0.3507 0.4753
14 Ge 0.3799 0.3799 0.8486
15 Ge 0.6201 0.6201 0.1514
16 Ge 0.6493 0.6493 0.5247
17 Ge 0.8918 0.8918 0.1891

Main lines, in order of rising 2θ (2θ = 10–80°):
12.51°, intensity 38.2
26.45°, intensity 39.4
29.74°, intensity 44.4
30.12°, intensity 74.0
33.46°, intensity 87.1
34.89°, intensity 58.0
37.46°, intensity 100.0
40.55°, intensity 62.8